[1]
MnGaNi2: theoretical powder XRD pattern (Cu Kα (λ = 1.5418 Å)), based on a PBE-relaxed structure.

Cell and atoms:
Cell: 10.877 10.877 4.150 Å, 100.94 100.94 29.43°
Atoms (fractional coordinates):
Mn (0.000, 0.000, 0.000)
Mn (0.200, 0.200, 0.241)
Mn (0.400, 0.400, 0.350)
Mn (0.600, 0.600, 0.650)
Mn (0.800, 0.800, 0.759)
Ga (0.100, 0.100, 0.651)
Ga (0.300, 0.300, 0.758)
Ga (0.500, 0.500, 0.000)
Ga (0.700, 0.700, 0.242)
Ga (0.900, 0.900, 0.349)
Ni (0.050, 0.550, 0.255)
Ni (0.150, 0.650, 0.846)
Ni (0.250, 0.750, 0.500)
Ni (0.350, 0.850, 0.154)
Ni (0.450, 0.950, 0.745)
Ni (0.550, 0.050, 0.255)
Ni (0.650, 0.150, 0.846)
Ni (0.750, 0.250, 0.500)
Ni (0.850, 0.350, 0.154)
Ni (0.950, 0.450, 0.745)

Top 10 peaks for 10° ≤ 2θ ≤ 90°, in order of rising 2θ:
2θ 43.62, intensity 220
2θ 43.88, intensity 293
2θ 44.54, intensity 71
2θ 45.13, intensity 1000
2θ 63.59, intensity 132
2θ 67.85, intensity 73
2θ 81.17, intensity 82
2θ 81.54, intensity 157
2θ 84.20, intensity 57
2θ 84.38, intensity 77

[2]
MnGaNi2: theoretical powder XRD pattern (Cu Kα (λ = 1.5418 Å)), based on a PBE-relaxed structure.

Cell and atoms:
Cell: 4.091 4.091 4.091 Å, 60.00 60.00 60.00°
Atoms (fractional coordinates):
Mn (0.000, 0.000, 0.000)
Ga (0.500, 0.500, 0.500)
Ni (0.250, 0.250, 0.250)
Ni (0.750, 0.750, 0.750)

Top 5 peaks for 10° ≤ 2θ ≤ 90°, in order of rising 2θ:
2θ 26.69, intensity 11
2θ 44.29, intensity 1000
2θ 52.46, intensity 7
2θ 64.42, intensity 151
2θ 81.51, intensity 296

[3]
Mn2GaNi: theoretical powder XRD pattern (Cu Kα (λ = 1.5418 Å)), based on a PBE-relaxed structure.

Cell and atoms:
Cell: 4.372 4.372 4.372 Å, 128.42 128.42 75.95°
Atoms (fractional coordinates):
Mn (0.000, 0.000, 0.000)
Mn (0.750, 0.250, 0.500)
Ga (0.500, 0.500, 0.000)
Ni (0.250, 0.750, 0.500)

Top 9 peaks for 10° ≤ 2θ ≤ 90°, in order of rising 2θ:
2θ 26.76, intensity 20
2θ 42.63, intensity 1000
2θ 46.15, intensity 6
2θ 47.81, intensity 351
2θ 53.15, intensity 125
2θ 55.64, intensity 7
2θ 69.93, intensity 103
2θ 74.26, intensity 171
2θ 85.48, intensity 232

[4]
Mn5Ga4Pd3: theoretical powder XRD pattern (Cu Kα (λ = 1.5418 Å)), based on a PBE-relaxed structure.

Cell and atoms:
Cell: 4.342 4.342 10.733 Å, 90.00 90.00 120.00°
Atoms (fractional coordinates):
Mn (0.000, 0.000, 0.000)
Mn (0.333, 0.667, 0.121)
Mn (0.333, 0.667, 0.378)
Mn (0.333, 0.667, 0.622)
Mn (0.333, 0.667, 0.879)
Ga (0.000, 0.000, 0.250)
Ga (0.000, 0.000, 0.750)
Ga (0.667, 0.333, 0.000)
Ga (0.667, 0.333, 0.500)
Pd (0.000, 0.000, 0.500)
Pd (0.667, 0.333, 0.247)
Pd (0.667, 0.333, 0.753)

Top 10 peaks for 10° ≤ 2θ ≤ 90°, in order of rising 2θ:
2θ 23.66, intensity 79
2θ 33.39, intensity 155
2θ 41.34, intensity 795
2θ 41.60, intensity 1000
2θ 54.36, intensity 233
2θ 60.09, intensity 248
2θ 75.73, intensity 241
2θ 75.91, intensity 159
2θ 84.98, intensity 228
2θ 85.50, intensity 66

[5]
MnGaPt: theoretical powder XRD pattern (Cu Kα (λ = 1.5418 Å)), based on a PBE-relaxed structure.

Cell and atoms:
Cell: 4.351 4.351 5.549 Å, 90.00 90.00 120.00°
Atoms (fractional coordinates):
Mn (0.000, 0.000, 0.000)
Mn (0.000, 0.000, 0.500)
Ga (0.333, 0.667, 0.250)
Ga (0.667, 0.333, 0.750)
Pt (0.333, 0.667, 0.750)
Pt (0.667, 0.333, 0.250)

Top 10 peaks for 10° ≤ 2θ ≤ 90°, in order of rising 2θ:
2θ 23.61, intensity 237
2θ 28.64, intensity 541
2θ 32.27, intensity 280
2θ 40.37, intensity 744
2θ 41.51, intensity 1000
2θ 53.53, intensity 417
2θ 59.29, intensity 234
2θ 74.95, intensity 230
2θ 75.72, intensity 166
2θ 82.46, intensity 266

[6]
MnGaPt: theoretical powder XRD pattern (Cu Kα (λ = 1.5418 Å)), based on a PBE-relaxed structure.

Cell and atoms:
Cell: 4.135 4.135 4.135 Å, 60.00 60.00 60.00°
Atoms (fractional coordinates):
Mn (0.000, 0.000, 0.000)
Ga (0.250, 0.250, 0.250)
Pt (0.500, 0.500, 0.500)

Top 10 peaks for 10° ≤ 2θ ≤ 90°, in order of rising 2θ:
2θ 26.40, intensity 585
2θ 30.58, intensity 393
2θ 43.79, intensity 1000
2θ 51.86, intensity 293
2θ 54.35, intensity 104
2θ 63.66, intensity 161
2θ 70.16, intensity 122
2θ 72.26, intensity 134
2θ 80.47, intensity 330
2θ 86.48, intensity 98